Diffraction record for SrGa3Br12. The powder diffraction line list is computed, not measured: it uses DFT lattice parameters and positions (PBE) and copper Kα.
Peak positions follow from Bragg's law for the DFT cell and can differ from measured ones.

Crystal structure
Lattice parameters (Å, degrees): 11.7580 11.7580 34.7544 90.00 90.00 120.00
Space group R3c (No. 161, hexagonal axes)
Unique sites:
Sr 0.0000 0.0000 0.0000
Ga 0.0108 0.3933 0.2806
Br 0.0339 0.5097 0.9558
Br 0.0854 0.5335 0.7301
Br 0.1020 0.2251 0.9339
Br 0.1685 0.3389 0.1705

Top 8 peaks for 2θ = 15–90°, low angle first:
| Position (°2θ) | d_spacing | I_rel |
| --- | --- | --- |
| 15.07 | 5.879 | 43 |
| 15.30 | 5.792 | 59 |
| 16.91 | 5.243 | 55 |
| 26.26 | 3.394 | 77 |
| 26.98 | 3.305 | 100 |
| 30.41 | 2.939 | 63 |
| 30.53 | 2.928 | 56 |
| 31.04 | 2.881 | 84 |